[1]
# ZnCo9
Simulated powder diffraction line list, Cu Ka. Input: the PBE geometry in OQMD.
No peak broadening, texture or thermal motion is included.

Principal peaks in the range 2θ from 10° to 80°, by intensity:
| 2θ/deg | I_rel |
| --- | --- |
| 44.9 | 100 |
| 52.9 | 61 |
| 45.9 | 51 |
| 43.9 | 51 |
| 51.2 | 32 |
| 76.7 | 26 |
| 78.1 | 18 |
| 76.8 | 7 |
| 11.5 | 6 |
| 45.1 | 6 |
| 40.1 | 5 |
| 47.8 | 3 |

Crystal structure
```
ZnCo9
1.0
2.4860 0.0000 0.0000
0.0000 3.4631 0.0000
0.0000 0.0000 38.4849
Zn Co
2 18
Cartesian
0.6215 0.8658 7.3688
1.8645 2.5973 31.1162
0.6215 0.8658 9.9762
0.6215 0.8658 12.4493
0.6215 0.8658 14.9235
0.6215 0.8658 17.4090
0.6215 0.8658 19.8371
0.6215 0.8658 22.2766
0.6215 0.8658 24.7712
0.6215 0.8658 27.2698
0.6215 0.8658 29.7554
1.8645 2.5973 8.7295
1.8645 2.5973 11.2151
1.8645 2.5973 13.7138
1.8645 2.5973 16.2084
1.8645 2.5973 18.6478
1.8645 2.5973 21.0759
1.8645 2.5973 23.5614
1.8645 2.5973 26.0357
1.8645 2.5973 28.5088
```

---

[2]
# Ba2Nd2Si4O13
Simulated powder diffraction line list, Cu Ka. Input: the PBE geometry in OQMD.
No peak broadening, texture or thermal motion is included.

Principal peaks in the range 2θ from 10° to 80°, by intensity:
| 2θ/deg | I_rel |
| --- | --- |
| 28.0 | 100 |
| 27.4 | 32 |
| 29.0 | 31 |
| 23.7 | 31 |
| 26.6 | 25 |
| 27.7 | 24 |
| 34.6 | 23 |
| 43.6 | 16 |
| 33.8 | 15 |
| 36.8 | 15 |
| 18.7 | 14 |
| 34.1 | 14 |

Crystal structure
```
Ba2Nd2Si4O13
1.0
6.6465 0.0000 0.0000
0.6005 8.8854 0.0000
2.8480 0.4704 9.6410
Ba Nd Si O
4 4 8 26
Cartesian
1.8803 2.9664 0.5359
2.9549 1.7354 4.0858
7.1401 7.6204 5.5553
8.2147 6.3894 9.1051
2.1061 7.9778 0.9993
3.5462 5.7073 3.8542
6.5488 3.6485 5.7868
7.9889 1.3780 8.6417
2.9260 4.1396 6.5277
3.7062 8.1105 6.2930
4.8686 5.8310 7.9461
4.9649 0.9268 7.8291
5.1300 8.4290 1.8119
5.2263 3.5248 1.6950
6.3888 1.2453 3.3480
7.1689 5.2162 3.1133
1.4583 3.9920 3.6710
1.4541 6.5250 2.8631
0.9507 1.0501 2.3087
3.6391 4.6731 7.9380
3.7857 1.2100 8.9188
3.2230 7.9809 4.7596
4.6347 6.5215 9.3706
4.6117 6.7625 6.6006
4.1136 3.8419 5.4401
4.2315 0.4698 6.3809
3.8028 4.2229 1.9445
4.2001 7.1070 1.9964
3.5617 0.7470 1.2674
6.5332 8.6088 8.3736
5.8948 2.2488 7.6446
6.2921 5.1329 7.6965
5.8634 8.8860 3.2601
5.9813 5.5139 4.2009
5.4832 2.5933 3.0404
5.4602 2.8343 0.2704
6.8719 1.3749 4.8814
6.3093 8.1458 0.7222
6.4559 4.6827 1.7031
9.1442 8.3057 7.3323
8.6408 2.8308 6.7779
8.6367 5.3638 5.9701
```

---

[3]
# TmLuSbC
Simulated powder diffraction line list, Cu Ka. Input: the PBE geometry in OQMD.
No peak broadening, texture or thermal motion is included.

Principal peaks in the range 2θ from 10° to 80°, by intensity:
| 2θ/deg | I_rel |
| --- | --- |
| 34.0 | 100 |
| 28.7 | 24 |
| 50.9 | 22 |
| 64.1 | 21 |
| 36.2 | 18 |
| 62.7 | 17 |
| 63.8 | 16 |
| 46.9 | 15 |
| 71.7 | 4 |
| 11.9 | 3 |
| 59.5 | 3 |
| 76.9 | 2 |

Crystal structure
```
TmLuSbC
1.0
3.5878 0.0000 0.0000
-1.7939 3.1071 0.0000
0.0000 0.0000 14.8834
Tm Lu Sb C
2 2 2 2
Cartesian
0.0000 0.0000 2.4342
0.0000 0.0000 12.4491
1.7939 1.0357 5.0025
1.7939 1.0357 9.8809
0.0000 0.0000 7.4417
1.7939 1.0357 0.0000
0.0000 2.0714 3.7376
0.0000 2.0714 11.1458
```

---

[4]
# Sc4Nb2Ni3C3
Simulated powder diffraction line list, Cu Ka. Input: the PBE geometry in OQMD.
No peak broadening, texture or thermal motion is included.

Principal peaks in the range 2θ from 10° to 80°, by intensity:
| 2θ/deg | I_rel |
| --- | --- |
| 38.4 | 100 |
| 38.5 | 48 |
| 40.7 | 37 |
| 37.7 | 26 |
| 25.8 | 21 |
| 33.2 | 19 |
| 24.3 | 17 |
| 29.2 | 16 |
| 32.5 | 16 |
| 42.6 | 15 |
| 64.9 | 15 |
| 38.0 | 14 |

Crystal structure
```
Sc4Nb2Ni3C3
1.0
4.7665 -2.7605 0.0000
4.7665 2.7605 0.0000
-3.1389 0.0000 13.3068
Sc Nb Ni C
8 4 6 6
Cartesian
0.8017 0.4069 1.2671
0.7625 0.4862 5.3842
-0.7678 -0.4069 7.9205
-0.8069 -0.4862 12.0376
7.2011 0.4862 1.2691
7.1619 0.4069 5.3863
5.6316 -0.4862 7.9225
5.5925 -0.4069 12.0397
3.9349 0.4843 1.2309
4.0287 0.4843 5.4225
2.3654 -0.4843 7.8842
2.4592 -0.4843 12.0759
2.4123 2.3448 9.9801
0.0983 0.8825 9.9953
1.6678 -0.8825 3.3419
4.7263 0.8825 9.9648
6.2958 -0.8825 3.3114
3.9818 -2.3448 3.3267
2.3833 1.3802 0.0000
2.4740 1.2570 6.6485
5.4895 1.2570 0.0049
0.8138 -1.3802 6.6534
0.9046 -1.2570 13.3019
3.9201 -1.2570 6.6583
```

---

[5]
# PrPa2Re2
Simulated powder diffraction line list, Cu Ka. Input: the PBE geometry in OQMD.
No peak broadening, texture or thermal motion is included.

Principal peaks in the range 2θ from 10° to 80°, by intensity:
| 2θ/deg | I_rel |
| --- | --- |
| 10.3 | 100 |
| 37.8 | 63 |
| 33.6 | 63 |
| 38.5 | 60 |
| 42.6 | 57 |
| 34.5 | 50 |
| 31.3 | 40 |
| 34.7 | 31 |
| 35.4 | 30 |
| 61.0 | 25 |
| 43.9 | 24 |
| 56.4 | 23 |

Crystal structure
```
PrPa2Re2
1.0
2.1273 -8.5730 0.0000
2.1273 8.5730 0.0000
-0.1329 0.0000 6.5269
Pr Pa Re
2 4 4
Cartesian
0.0000 0.0000 0.0000
2.4291 0.0000 3.2574
1.2687 5.2691 3.2737
3.2868 3.3035 0.0070
1.2687 -5.2691 3.2737
3.2868 -3.3035 0.0070
1.2125 2.4166 1.6371
1.1497 2.4082 4.9012
1.2125 -2.4166 1.6371
1.1497 -2.4082 4.9012
```

---

[6]
# LiNb2Co
Simulated powder diffraction line list, Cu Ka. Input: the PBE geometry in OQMD.
No peak broadening, texture or thermal motion is included.

Principal peaks in the range 2θ from 10° to 80°, by intensity:
| 2θ/deg | I_rel |
| --- | --- |
| 41.3 | 100 |
| 24.9 | 37 |
| 75.2 | 32 |
| 48.8 | 17 |
| 59.8 | 16 |
| 65.8 | 7 |
| 28.9 | 7 |
| 67.7 | 2 |
| 51.1 | 2 |

Crystal structure
```
LiNb2Co
1.0
0.0000 3.0938 3.0938
3.0938 0.0000 3.0938
3.0938 3.0938 0.0000
Li Nb Co
1 2 1
Cartesian
0.0000 0.0000 0.0000
3.0938 3.0938 3.0938
4.6407 4.6407 4.6407
1.5469 1.5469 1.5469
```

---

[7]
# Ba3Os2O8
Simulated powder diffraction line list, Cu Ka. Input: the PBE geometry in OQMD.
No peak broadening, texture or thermal motion is included.

Principal peaks in the range 2θ from 10° to 80°, by intensity:
| 2θ/deg | I_rel |
| --- | --- |
| 26.9 | 100 |
| 30.3 | 85 |
| 41.0 | 40 |
| 51.8 | 34 |
| 45.2 | 30 |
| 64.5 | 20 |
| 53.9 | 17 |
| 55.4 | 15 |
| 72.5 | 15 |
| 69.9 | 14 |
| 63.1 | 14 |
| 17.9 | 6 |

Crystal structure
```
Ba3Os2O8
1.0
2.9453 1.7005 7.2668
-2.9453 1.7005 7.2668
0.0000 -3.4009 7.2668
Ba Os O
3 2 8
Cartesian
0.0000 0.0000 0.0000
0.0000 0.0000 4.3969
0.0000 0.0000 17.4036
0.0000 0.0000 8.7818
0.0000 0.0000 13.0187
-1.4933 -0.8622 12.2937
0.0000 -1.7243 9.5067
-1.4933 0.8622 9.5067
0.0000 0.0000 6.9503
0.0000 0.0000 14.8502
1.4933 -0.8622 12.2937
0.0000 1.7243 12.2937
1.4933 0.8622 9.5067
```

---

[8]
# Ba2LaOsSe6
Simulated powder diffraction line list, Cu Ka. Input: the PBE geometry in OQMD.
No peak broadening, texture or thermal motion is included.

Principal peaks in the range 2θ from 10° to 80°, by intensity:
| 2θ/deg | I_rel |
| --- | --- |
| 24.3 | 100 |
| 23.6 | 95 |
| 42.4 | 94 |
| 34.7 | 91 |
| 32.5 | 84 |
| 48.2 | 69 |
| 66.5 | 50 |
| 41.0 | 48 |
| 56.3 | 44 |
| 28.5 | 43 |
| 29.3 | 33 |
| 49.9 | 31 |

Crystal structure
```
Ba2LaOsSe6
1.0
-3.6568 3.6568 5.5160
3.6568 -3.6568 5.5160
3.6568 3.6568 -5.5160
Ba La Os Se
2 1 1 6
Cartesian
3.6568 0.0000 2.7580
0.0000 3.6568 2.7580
0.0000 0.0000 0.0000
0.0000 0.0000 5.5160
2.5099 1.4342 0.0000
0.0000 0.0000 2.9597
2.2226 -1.1469 5.5160
1.4342 4.8036 0.0000
0.0000 0.0000 8.0722
1.1469 2.2226 5.5160
```

---

[9]
# Dy2SO2
Simulated powder diffraction line list, Cu Ka. Input: the PBE geometry in OQMD.
No peak broadening, texture or thermal motion is included.

Principal peaks in the range 2θ from 10° to 80°, by intensity:
| 2θ/deg | I_rel |
| --- | --- |
| 44.2 | 100 |
| 22.4 | 98 |
| 24.2 | 88 |
| 27.8 | 85 |
| 23.0 | 82 |
| 33.6 | 55 |
| 33.2 | 54 |
| 36.3 | 47 |
| 37.2 | 43 |
| 56.6 | 26 |
| 53.5 | 25 |
| 51.0 | 24 |

Crystal structure
```
Dy2SO2
1.0
2.0520 -7.7414 0.0000
2.0520 7.7414 0.0000
0.0000 0.0000 3.6727
Dy S O
2 1 2
Cartesian
2.0520 5.9169 0.0000
2.0520 -5.9169 0.0000
2.0520 0.0000 0.0000
2.0520 5.0083 1.8364
2.0520 -5.0083 1.8364
```